Structure and computed PXRD pattern of ScInHgTe3 (a structure optimized by DFT (GGA-PBE); Cu Kα (λ = 1.5418 Å)).

Cell and atoms:
Lattice parameters (Å, degrees): 7.8551 7.8551 11.2213 90.00 90.00 148.43
Element x y z (fractional)
Sc: 0.0000 0.0000 0.0000
Sc: 0.0000 0.0000 0.5000
In: 0.2368 0.7632 0.7500
In: 0.7632 0.2368 0.2500
Hg: 0.4601 0.5399 0.2500
Hg: 0.5399 0.4601 0.7500
Te: 0.0858 0.9142 0.2500
Te: 0.3633 0.6367 0.0375
Te: 0.3633 0.6367 0.4625
Te: 0.6367 0.3633 0.5375
Te: 0.6367 0.3633 0.9625
Te: 0.9142 0.0858 0.7500

The 10 most intense peaks (10° ≤ 2θ ≤ 90°), sorted by position:
- 11.71 deg, rel. 15
- 15.80 deg, rel. 13
- 21.61 deg, rel. 17
- 28.51 deg, rel. 100
- 31.75 deg, rel. 60
- 31.90 deg, rel. 35
- 36.56 deg, rel. 26
- 42.29 deg, rel. 22
- 49.30 deg, rel. 25
- 53.93 deg, rel. 16

Structure and computed PXRD pattern of SmInHgTe3 (a structure optimized by DFT (GGA-PBE); Cu Kα (λ = 1.5418 Å)).

Cell and atoms:
Lattice parameters (Å, degrees): 11.6467 4.4753 15.1177 90.00 90.00 90.00
Element x y z (fractional)
Sm: 0.0154 0.2500 0.2457
Sm: 0.4846 0.7500 0.7457
Sm: 0.5154 0.2500 0.2543
Sm: 0.9846 0.7500 0.7543
In: 0.2253 0.7500 0.5115
In: 0.2747 0.2500 0.0115
In: 0.7253 0.7500 0.9885
In: 0.7747 0.2500 0.4885
Hg: 0.2401 0.2500 0.7190
Hg: 0.2599 0.7500 0.2190
Hg: 0.7401 0.2500 0.7810
Hg: 0.7599 0.7500 0.2810
Te: 0.0386 0.2500 0.6113
Te: 0.0687 0.7500 0.1032
Te: 0.2367 0.7500 0.8412
Te: 0.2633 0.2500 0.3412
Te: 0.4313 0.2500 0.6032
Te: 0.4614 0.7500 0.1113
Te: 0.5386 0.2500 0.8887
Te: 0.5687 0.7500 0.3968
Te: 0.7367 0.7500 0.6588
Te: 0.7633 0.2500 0.1588
Te: 0.9313 0.2500 0.8968
Te: 0.9614 0.7500 0.3887

The 10 most intense peaks (10° ≤ 2θ ≤ 90°), sorted by position:
- 11.71 deg, rel. 38
- 25.80 deg, rel. 21
- 27.74 deg, rel. 73
- 30.71 deg, rel. 33
- 30.82 deg, rel. 100
- 35.41 deg, rel. 16
- 39.13 deg, rel. 36
- 40.31 deg, rel. 31
- 47.56 deg, rel. 17
- 51.51 deg, rel. 15

Structure and computed PXRD pattern of In2Sn3Hg2 (a structure optimized by DFT (GGA-PBE); Cu Kα (λ = 1.5418 Å)).

Cell and atoms:
Lattice parameters (Å, degrees): 8.9212 8.9212 8.9212 34.25 34.25 34.25
Element x y z (fractional)
In: 0.0000 0.0000 0.0000
In: 0.4880 0.4880 0.4880
Sn: 0.3652 0.3652 0.3652
Sn: 0.6181 0.6181 0.6181
Sn: 0.8712 0.8712 0.8712
Hg: 0.2311 0.2311 0.2311
Hg: 0.7501 0.7501 0.7501

The 10 most intense peaks (10° ≤ 2θ ≤ 90°), sorted by position:
- 20.76 deg, rel. 12
- 24.14 deg, rel. 16
- 31.72 deg, rel. 13
- 34.14 deg, rel. 100
- 34.67 deg, rel. 85
- 49.44 deg, rel. 31
- 61.11 deg, rel. 19
- 61.45 deg, rel. 33
- 71.89 deg, rel. 12
- 82.34 deg, rel. 15

Structure and computed PXRD pattern of SrInHg2 (a structure optimized by DFT (GGA-PBE); Cu Kα (λ = 1.5418 Å)).

Cell and atoms:
Lattice parameters (Å, degrees): 5.3463 5.3463 5.3463 119.94 119.80 90.23
Element x y z (fractional)
Sr: 0.0000 0.0000 0.0000
In: 0.5000 0.5000 0.0000
Hg: 0.2506 0.7506 0.5000
Hg: 0.7494 0.2494 0.5000

The 10 most intense peaks (10° ≤ 2θ ≤ 90°), sorted by position:
- 23.52 deg, rel. 18
- 33.46 deg, rel. 50
- 33.52 deg, rel. 100
- 48.04 deg, rel. 18
- 48.24 deg, rel. 9
- 59.85 deg, rel. 38
- 59.98 deg, rel. 19
- 70.43 deg, rel. 15
- 80.13 deg, rel. 13
- 80.47 deg, rel. 8

Structure and computed PXRD pattern of YInHg (a structure optimized by DFT (GGA-PBE); Cu Kα (λ = 1.5418 Å)).

Cell and atoms:
Lattice parameters (Å, degrees): 4.8303 4.8303 7.4776 90.00 90.00 120.00
Element x y z (fractional)
Y: 0.0000 0.0000 0.0000
Y: 0.0000 0.0000 0.5000
In: 0.3333 0.6667 0.2804
In: 0.6667 0.3333 0.7804
Hg: 0.3333 0.6667 0.6903
Hg: 0.6667 0.3333 0.1903

The 10 most intense peaks (10° ≤ 2θ ≤ 90°), sorted by position:
- 23.80 deg, rel. 22
- 24.38 deg, rel. 37
- 32.11 deg, rel. 89
- 37.23 deg, rel. 100
- 42.20 deg, rel. 38
- 44.67 deg, rel. 26
- 49.96 deg, rel. 26
- 63.93 deg, rel. 24
- 67.13 deg, rel. 19
- 70.54 deg, rel. 17

Structure and computed PXRD pattern of HgIr10 (a structure optimized by DFT (GGA-PBE); Cu Kα (λ = 1.5418 Å)).

Cell and atoms:
Lattice parameters (Å, degrees): 4.7207 4.7207 32.6271 90.04 90.04 48.16
Element x y z (fractional)
Hg: 0.1455 0.1455 0.2104
Hg: 0.8545 0.8545 0.7896
Ir: 0.0477 0.0477 0.6727
Ir: 0.0512 0.0512 0.4072
Ir: 0.1500 0.1500 0.4868
Ir: 0.1531 0.1531 0.7505
Ir: 0.2499 0.2499 0.5664
Ir: 0.2521 0.2521 0.3003
Ir: 0.3470 0.3470 0.6461
Ir: 0.3524 0.3524 0.3802
Ir: 0.4498 0.4498 0.4599
Ir: 0.4503 0.4503 0.7246
Ir: 0.5497 0.5497 0.2754
Ir: 0.5502 0.5502 0.5401
Ir: 0.6476 0.6476 0.6198
Ir: 0.6530 0.6530 0.3539
Ir: 0.7479 0.7479 0.6997
Ir: 0.7501 0.7501 0.4336
Ir: 0.8469 0.8469 0.2495
Ir: 0.8500 0.8500 0.5132
Ir: 0.9488 0.9488 0.5928
Ir: 0.9523 0.9523 0.3273

The 10 most intense peaks (10° ≤ 2θ ≤ 90°), sorted by position:
- 39.76 deg, rel. 100
- 40.01 deg, rel. 55
- 40.70 deg, rel. 95
- 42.01 deg, rel. 44
- 46.44 deg, rel. 27
- 46.77 deg, rel. 34
- 47.21 deg, rel. 52
- 68.34 deg, rel. 26
- 69.37 deg, rel. 23
- 83.24 deg, rel. 35

Structure and computed PXRD pattern of HgIr9 (a structure optimized by DFT (GGA-PBE); Cu Kα (λ = 1.5418 Å)).

Cell and atoms:
Lattice parameters (Å, degrees): 2.7468 3.8619 40.9208 90.00 90.00 90.00
Element x y z (fractional)
Hg: 0.2500 0.2500 0.1735
Hg: 0.7500 0.7500 0.8265
Ir: 0.2500 0.2500 0.2490
Ir: 0.2500 0.2500 0.3165
Ir: 0.2500 0.2500 0.3827
Ir: 0.2500 0.2500 0.4497
Ir: 0.2500 0.2500 0.5169
Ir: 0.2500 0.2500 0.5836
Ir: 0.2500 0.2500 0.6507
Ir: 0.2500 0.2500 0.7175
Ir: 0.2500 0.2500 0.7832
Ir: 0.7500 0.7500 0.2168
Ir: 0.7500 0.7500 0.2825
Ir: 0.7500 0.7500 0.3493
Ir: 0.7500 0.7500 0.4164
Ir: 0.7500 0.7500 0.4831
Ir: 0.7500 0.7500 0.5503
Ir: 0.7500 0.7500 0.6173
Ir: 0.7500 0.7500 0.6835
Ir: 0.7500 0.7500 0.7510

The 10 most intense peaks (10° ≤ 2θ ≤ 90°), sorted by position:
- 38.63 deg, rel. 23
- 40.31 deg, rel. 100
- 40.49 deg, rel. 75
- 45.31 deg, rel. 15
- 46.94 deg, rel. 45
- 47.07 deg, rel. 32
- 68.66 deg, rel. 30
- 82.51 deg, rel. 18
- 82.85 deg, rel. 28
- 87.08 deg, rel. 12

Structure and computed PXRD pattern of HgIr9 (a structure optimized by DFT (GGA-PBE); Cu Kα (λ = 1.5418 Å)).

Cell and atoms:
Lattice parameters (Å, degrees): 2.7517 2.7517 51.3190 90.00 90.00 90.00
Element x y z (fractional)
Hg: 0.2500 0.2500 0.1368
Hg: 0.7500 0.7500 0.8632
Ir: 0.2500 0.2500 0.2191
Ir: 0.2500 0.2500 0.2943
Ir: 0.2500 0.2500 0.3691
Ir: 0.2500 0.2500 0.4440
Ir: 0.2500 0.2500 0.5186
Ir: 0.2500 0.2500 0.5934
Ir: 0.2500 0.2500 0.6683
Ir: 0.2500 0.2500 0.7432
Ir: 0.2500 0.2500 0.8170
Ir: 0.7500 0.7500 0.1830
Ir: 0.7500 0.7500 0.2568
Ir: 0.7500 0.7500 0.3317
Ir: 0.7500 0.7500 0.4066
Ir: 0.7500 0.7500 0.4814
Ir: 0.7500 0.7500 0.5560
Ir: 0.7500 0.7500 0.6309
Ir: 0.7500 0.7500 0.7057
Ir: 0.7500 0.7500 0.7809

The 10 most intense peaks (10° ≤ 2θ ≤ 90°), sorted by position:
- 39.94 deg, rel. 100
- 41.01 deg, rel. 41
- 46.69 deg, rel. 46
- 47.86 deg, rel. 12
- 67.61 deg, rel. 12
- 68.16 deg, rel. 15
- 69.08 deg, rel. 16
- 82.02 deg, rel. 26
- 82.72 deg, rel. 11
- 83.06 deg, rel. 11

Structure and computed PXRD pattern of HgIr17 (a structure optimized by DFT (GGA-PBE); Cu Kα (λ = 1.5418 Å)).

Cell and atoms:
Lattice parameters (Å, degrees): 4.7128 5.4454 33.3648 90.00 90.01 90.00
Element x y z (fractional)
Hg: 0.1664 0.2500 0.2953
Hg: 0.8336 0.7500 0.7047
Ir: 0.0000 0.0000 0.0000
Ir: 0.0000 0.5000 0.0000
Ir: 0.0024 0.0034 0.2014
Ir: 0.0024 0.4966 0.2014
Ir: 0.1649 0.7500 0.8654
Ir: 0.1664 0.7500 0.0668
Ir: 0.1661 0.7500 0.2668
Ir: 0.1667 0.2500 0.0675
Ir: 0.1691 0.2500 0.8657
Ir: 0.3330 0.9996 0.1347
Ir: 0.3334 0.0003 0.9326
Ir: 0.3330 0.5004 0.1347
Ir: 0.3334 0.4997 0.9326
Ir: 0.3343 0.5006 0.7329
Ir: 0.3343 0.9994 0.7329
Ir: 0.5000 0.2500 0.0002
Ir: 0.5000 0.2500 0.2018
Ir: 0.5002 0.2500 0.7979
Ir: 0.5000 0.7500 0.9998
Ir: 0.4998 0.7500 0.2021
Ir: 0.5000 0.7500 0.7982
Ir: 0.6657 0.0006 0.2671
Ir: 0.6657 0.4994 0.2671
Ir: 0.6666 0.9997 0.0674
Ir: 0.6670 0.0004 0.8653
Ir: 0.6666 0.5003 0.0674
Ir: 0.6670 0.4996 0.8653
Ir: 0.8309 0.7500 0.1343
Ir: 0.8333 0.7500 0.9325
Ir: 0.8339 0.2500 0.7332
Ir: 0.8336 0.2500 0.9332
Ir: 0.8351 0.2500 0.1346
Ir: 0.9976 0.5034 0.7986
Ir: 0.9976 0.9966 0.7986

The 10 most intense peaks (10° ≤ 2θ ≤ 90°), sorted by position:
- 10.61 deg, rel. 10
- 37.75 deg, rel. 12
- 39.74 deg, rel. 29
- 40.58 deg, rel. 100
- 41.61 deg, rel. 16
- 45.61 deg, rel. 22
- 47.21 deg, rel. 46
- 68.96 deg, rel. 14
- 69.02 deg, rel. 20
- 83.21 deg, rel. 33

Structure and computed PXRD pattern of HgIr2PdO6 (a structure optimized by DFT (GGA-PBE); Cu Kα (λ = 1.5418 Å)).

Cell and atoms:
Lattice parameters (Å, degrees): 6.4139 6.4139 3.1337 90.00 90.00 111.15
Element x y z (fractional)
Hg: 0.0000 0.0000 0.0000
Ir: 0.0000 0.5000 0.5000
Ir: 0.5000 0.0000 0.5000
Pd: 0.5000 0.5000 0.0000
O: 0.1635 0.4271 0.0000
O: 0.1837 0.8163 0.5000
O: 0.4271 0.1635 0.0000
O: 0.5729 0.8365 0.0000
O: 0.8163 0.1837 0.5000
O: 0.8365 0.5729 0.0000

The 10 most intense peaks (10° ≤ 2θ ≤ 90°), sorted by position:
- 29.87 deg, rel. 100
- 33.23 deg, rel. 84
- 33.89 deg, rel. 31
- 37.95 deg, rel. 43
- 50.33 deg, rel. 15
- 51.78 deg, rel. 53
- 58.17 deg, rel. 17
- 60.21 deg, rel. 14
- 61.65 deg, rel. 29
- 67.48 deg, rel. 20

Structure and computed PXRD pattern of HgIrSO (a structure optimized by DFT (GGA-PBE); Cu Kα (λ = 1.5418 Å)).

Cell and atoms:
Lattice parameters (Å, degrees): 6.8678 6.7215 5.9543 90.00 92.87 90.00
Element x y z (fractional)
Hg: 0.0484 0.2099 0.0148
Hg: 0.0484 0.2901 0.5148
Hg: 0.9516 0.7099 0.4852
Hg: 0.9516 0.7901 0.9852
Ir: 0.4881 0.6275 0.2574
Ir: 0.4881 0.8725 0.7574
Ir: 0.5119 0.1275 0.2426
Ir: 0.5119 0.3725 0.7426
S: 0.3152 0.6062 0.9204
S: 0.3152 0.8938 0.4204
S: 0.6848 0.1062 0.5796
S: 0.6848 0.3938 0.0796
O: 0.3864 0.1296 0.8975
O: 0.3864 0.3704 0.3975
O: 0.6136 0.6296 0.6025
O: 0.6136 0.8704 0.1025

The 10 most intense peaks (10° ≤ 2θ ≤ 90°), sorted by position:
- 25.98 deg, rel. 100
- 26.52 deg, rel. 26
- 29.23 deg, rel. 25
- 29.60 deg, rel. 36
- 30.55 deg, rel. 36
- 32.21 deg, rel. 61
- 32.98 deg, rel. 56
- 33.44 deg, rel. 74
- 41.04 deg, rel. 29
- 63.59 deg, rel. 31